Structure and computed X-ray diffraction stick pattern of Ce2MgCo9 (the GGA-PBE geometry in the Materials Project; Cu Kα (weighted mean of Kα1 and Kα2)).

Main lines, most intense first (10 to 90 degrees two-theta):
| d [Å] | intensity |
| --- | --- |
| 2.105 | 100 |
| 2.468 | 55 |
| 2.130 | 30 |
| 1.343 | 27 |
| 2.685 | 27 |
| 1.955 | 22 |
| 2.014 | 22 |
| 1.234 | 17 |
| 1.425 | 15 |
| 4.030 | 14 |
| 3.202 | 10 |
| 1.817 | 9 |

Crystal structure
Cell lengths 8.542, 8.542, 8.542 Å; angles 33.59, 33.59, 33.59 degrees
Fractional positions:
Ce1 0.000 0.000 0.000
Ce2 0.143 0.143 0.143
Mg1 0.281 0.281 0.281
Co1 0.062 0.555 0.555
Co2 0.222 0.725 0.725
Co3 0.475 0.475 0.475
Co4 0.555 0.062 0.555
Co5 0.555 0.555 0.062
Co6 0.640 0.640 0.640
Co7 0.725 0.222 0.725
Co8 0.725 0.725 0.222
Co9 0.806 0.806 0.806

---

Structure and computed X-ray diffraction stick pattern of Dy2Ge3 (the GGA-PBE geometry in the Materials Project; Cu Kα (weighted mean of Kα1 and Kα2)).

Main lines, most intense first (10 to 90 degrees two-theta):
| d [Å] | intensity |
| --- | --- |
| 2.588 | 100 |
| 2.204 | 51 |
| 3.817 | 35 |
| 1.678 | 27 |
| 1.335 | 25 |
| 1.376 | 19 |
| 3.356 | 11 |
| 1.272 | 9 |
| 1.761 | 7 |
| 1.102 | 6 |
| 1.909 | 5 |
| 1.122 | 5 |

Crystal structure
Cell lengths 4.408, 4.408, 7.043 Å; angles 90.00, 90.00, 120.00 degrees
Fractional positions:
Dy1 0.000 0.000 0.230
Dy2 0.000 0.000 0.770
Ge1 0.333 0.667 0.500
Ge2 0.667 0.333 0.000
Ge3 0.667 0.333 0.500

---

Structure and computed X-ray diffraction stick pattern of EuGa3Ag (the GGA-PBE geometry in the Materials Project; Cu Kα (weighted mean of Kα1 and Kα2)).

Main lines, most intense first (10 to 90 degrees two-theta):
| d [Å] | intensity |
| --- | --- |
| 2.700 | 100 |
| 2.195 | 51 |
| 2.806 | 49 |
| 1.959 | 25 |
| 1.729 | 23 |
| 1.346 | 22 |
| 1.462 | 19 |
| 1.552 | 16 |
| 1.573 | 12 |
| 1.161 | 12 |
| 2.053 | 11 |
| 2.737 | 8 |

Crystal structure
Cell lengths 4.390, 4.390, 10.948 Å; angles 90.00, 90.00, 90.00 degrees
Fractional positions:
Eu1 0.000 0.000 0.000
Eu2 0.500 0.500 0.500
Ga1 0.000 0.000 0.386
Ga2 0.000 0.000 0.614
Ga3 0.000 0.500 0.250
Ga4 0.500 0.000 0.750
Ga5 0.500 0.500 0.114
Ga6 0.500 0.500 0.886
Ag1 0.000 0.500 0.750
Ag2 0.500 0.000 0.250

---

Structure and computed X-ray diffraction stick pattern of PdS2Cl6 (the GGA-PBE geometry in the Materials Project; Cu Kα (weighted mean of Kα1 and Kα2)).

Main lines, most intense first (10 to 90 degrees two-theta):
| d [Å] | intensity |
| --- | --- |
| 8.071 | 100 |
| 5.980 | 91 |
| 6.749 | 83 |
| 3.987 | 73 |
| 2.833 | 63 |
| 4.338 | 62 |
| 2.505 | 45 |
| 3.130 | 40 |
| 4.706 | 40 |
| 3.745 | 34 |
| 2.867 | 34 |
| 2.883 | 30 |

Crystal structure
Cell lengths 4.755, 6.982, 8.414 Å; angles 104.37, 97.31, 91.85 degrees
Fractional positions:
Pd1 0.000 0.000 0.000
S1 0.294 0.226 0.207
S2 0.706 0.774 0.793
Cl1 0.090 0.482 0.216
Cl2 0.254 0.182 0.433
Cl3 0.288 0.129 0.841
Cl4 0.712 0.871 0.159
Cl5 0.746 0.818 0.567
Cl6 0.910 0.518 0.784

---

Structure and computed X-ray diffraction stick pattern of TbBPd3 (the GGA-PBE geometry in the Materials Project; Cu Kα (weighted mean of Kα1 and Kα2)).

Main lines, most intense first (10 to 90 degrees two-theta):
| d [Å] | intensity |
| --- | --- |
| 2.499 | 100 |
| 2.164 | 53 |
| 1.305 | 38 |
| 1.530 | 35 |
| 1.249 | 12 |
| 3.060 | 4 |
| 4.328 | 2 |
| 1.767 | 2 |
| 1.935 | 1 |
| 1.157 | 1 |
| 1.369 | 1 |
| 1.443 | 1 |

Crystal structure
Cell lengths 4.328, 4.328, 4.328 Å; angles 90.00, 90.00, 90.00 degrees
Fractional positions:
Tb1 0.000 0.000 0.000
B1 0.500 0.500 0.500
Pd1 0.000 0.500 0.500
Pd2 0.500 0.000 0.500
Pd3 0.500 0.500 0.000

---

Structure and computed X-ray diffraction stick pattern of Nb6SI9 (the GGA-PBE geometry in the Materials Project; Cu Kα (weighted mean of Kα1 and Kα2)).

Main lines, most intense first (10 to 90 degrees two-theta):
| d [Å] | intensity |
| --- | --- |
| 3.370 | 100 |
| 8.798 | 93 |
| 3.251 | 72 |
| 8.684 | 71 |
| 2.297 | 57 |
| 3.269 | 49 |
| 2.429 | 47 |
| 3.334 | 46 |
| 3.306 | 39 |
| 1.989 | 35 |
| 3.011 | 34 |
| 2.315 | 33 |

Crystal structure
Cell lengths 10.356, 10.816, 11.996 Å; angles 106.37, 104.80, 112.63 degrees
Fractional positions:
Nb1 0.017 0.352 0.409
Nb2 0.106 0.479 0.676
Nb3 0.236 0.656 0.531
Nb4 0.321 0.985 0.928
Nb5 0.387 0.759 0.956
Nb6 0.482 0.062 0.187
Nb7 0.518 0.938 0.813
Nb8 0.613 0.241 0.044
Nb9 0.679 0.015 0.072
Nb10 0.764 0.344 0.469
Nb11 0.894 0.521 0.324
Nb12 0.983 0.648 0.591
S1 0.261 0.743 0.749
S2 0.739 0.257 0.251
I1 0.007 0.918 0.772
I2 0.104 0.831 0.463
I3 0.143 0.506 0.263
I4 0.178 0.814 0.056
I5 0.241 0.447 0.903
I6 0.323 0.443 0.576
I7 0.370 0.249 0.119
I8 0.426 0.153 0.784
I9 0.457 0.143 0.429
I10 0.543 0.857 0.571
I11 0.574 0.847 0.216
I12 0.630 0.751 0.881
I13 0.677 0.557 0.424
I14 0.759 0.553 0.097
I15 0.822 0.186 0.944
I16 0.857 0.494 0.737
I17 0.896 0.169 0.537
I18 0.993 0.082 0.228